The following is a calculated X-ray diffraction stick pattern of CuBr2. It was derived from a structure optimized by DFT (GGA-PBE), using Cu Kα, 1.54184 Å.
Peak positions follow from Bragg's law for the DFT cell and can differ from measured ones.

Structure:
Unit cell a=4.8310 b=4.8310 c=4.2104 alpha=90.00 beta=90.00 gamma=90.00
Positions (direct):
Cu (0.0000, 0.0000, 0.0000)
Br (0.0000, 0.5000, 0.0000)
Br (0.5000, 0.0000, 0.0000)

Top 10 peaks for 10 to 80 degrees two-theta, by intensity:
4.210 Å, intensity 100, hkl 0 0 1; 2.095 Å, intensity 59, hkl 2 0 1; 2.416 Å, intensity 45, hkl 2 0 0; 4.831 Å, intensity 24, hkl 1 0 0; 1.587 Å, intensity 24, hkl 2 0 2; 1.583 Å, intensity 23, hkl 2 2 1; 3.416 Å, intensity 20, hkl 1 1 0; 2.653 Å, intensity 19, hkl 1 1 1; 3.174 Å, intensity 17, hkl 1 0 1; 1.708 Å, intensity 15, hkl 2 2 0